The following is a simulated powder XRD pattern of Ce5SiIr2. It was derived from DFT lattice parameters and positions (GGA-PBE), using copper Kα.

```
data_Ce5SiIr2
_chemical_formula_sum 'Ce20 Si4 Ir8'
_cell_length_a 4.446
_cell_length_b 10.886
_cell_length_c 15.720
_cell_angle_alpha 90.00
_cell_angle_beta 90.00
_cell_angle_gamma 90.00
_symmetry_space_group_name_H-M 'C m c m'
_symmetry_Int_Tables_number 63
_symmetry_space_group_name_Hall '-C 2c 2'
loop_
_atom_site_label
_atom_site_type_symbol
_atom_site_fract_x
_atom_site_fract_y
_atom_site_fract_z
Ce1 Ce 0.000 0.084 0.112
Ce2 Ce 0.000 0.212 0.750
Ce3 Ce 0.000 0.409 0.077
Si1 Si 0.000 0.499 0.750
Ir1 Ir 0.000 0.252 0.572
```

Principal peaks in the range 5 to 70 degrees two-theta, sorted by position:
d 7.860, 2θ = 11.26°, I = 47; d 5.443, 2θ = 16.28°, I = 14; d 2.767, 2θ = 32.35°, I = 75; d 2.722, 2θ = 32.90°, I = 12; d 2.620, 2θ = 34.22°, I = 40; d 2.498, 2θ = 35.94°, I = 24; d 2.477, 2θ = 36.26°, I = 100; d 2.223, 2θ = 40.58°, I = 37; d 2.096, 2θ = 43.17°, I = 24; d 1.814, 2θ = 50.29°, I = 14; d 1.695, 2θ = 54.10°, I = 22; d 1.406, 2θ = 66.52°, I = 12

The following is a simulated powder XRD pattern of CsCrNiSe3. It was derived from DFT lattice parameters and positions (GGA-PBE), using copper Kα.

```
data_CsCrNiSe3
_chemical_formula_sum 'Cs2 Cr2 Ni2 Se6'
_cell_length_a 9.168
_cell_length_b 3.769
_cell_length_c 9.805
_cell_angle_alpha 90.00
_cell_angle_beta 116.48
_cell_angle_gamma 90.00
_symmetry_space_group_name_H-M 'P 1 21/m 1'
_symmetry_Int_Tables_number 11
_symmetry_space_group_name_Hall '-P 2yb'
loop_
_atom_site_label
_atom_site_type_symbol
_atom_site_fract_x
_atom_site_fract_y
_atom_site_fract_z
Cs1 Cs 0.016 0.250 0.257
Cr1 Cr 0.472 0.250 0.158
Ni1 Ni 0.486 0.750 0.402
Se1 Se 0.282 0.750 0.149
Se2 Se 0.343 0.750 0.559
Se3 Se 0.353 0.250 0.868
```

Principal peaks in the range 5 to 70 degrees two-theta, sorted by position:
d 8.207, 2θ = 10.78°, I = 59; d 4.023, 2θ = 22.10°, I = 21; d 3.305, 2θ = 26.98°, I = 30; d 3.005, 2θ = 29.73°, I = 67; d 2.911, 2θ = 30.71°, I = 100; d 2.750, 2θ = 32.56°, I = 25; d 2.406, 2θ = 37.37°, I = 47; d 2.080, 2θ = 43.52°, I = 22; d 1.903, 2θ = 47.81°, I = 23; d 1.885, 2θ = 48.29°, I = 32; d 1.740, 2θ = 52.59°, I = 29; d 1.708, 2θ = 53.67°, I = 35

The following is a simulated powder XRD pattern of Nd2Y4Ho7. It was derived from DFT lattice parameters and positions (GGA-PBE), using copper Kα.

```
data_Nd2Y4Ho7
_chemical_formula_sum 'Nd2 Y4 Ho7'
_cell_length_a 6.0773
_cell_length_b 6.0773
_cell_length_c 13.3359
_cell_angle_alpha 90.00
_cell_angle_beta 90.00
_cell_angle_gamma 120.00
_symmetry_space_group_name_H-M 'P -3 1 m'
_symmetry_Int_Tables_number 162
_symmetry_space_group_name_Hall '-P 3 2'
loop_
_atom_site_label
_atom_site_type_symbol
_atom_site_fract_x
_atom_site_fract_y
_atom_site_fract_z
Nd1 Nd 0.3333 0.6667 0.0000
Y1 Y 0.0000 0.0000 0.3946
Y2 Y 0.3333 0.6667 0.5000
Ho1 Ho 0.0000 0.0000 0.0000
Ho2 Ho 0.0000 0.3541 0.2161
```

Principal peaks in the range 5 to 70 degrees two-theta, sorted by position:
d 13.336, 2θ = 6.63°, I = 45; d 3.334, 2θ = 26.74°, I = 25; d 2.963, 2θ = 30.16°, I = 58; d 2.765, 2θ = 32.38°, I = 100; d 2.667, 2θ = 33.60°, I = 19; d 2.509, 2θ = 35.79°, I = 47; d 2.246, 2θ = 40.15°, I = 17; d 1.794, 2θ = 50.90°, I = 23; d 1.754, 2θ = 52.14°, I = 29; d 1.553, 2θ = 59.54°, I = 15; d 1.481, 2θ = 62.71°, I = 18; d 1.466, 2θ = 63.47°, I = 17